Entry 1:
Diffraction record for Ag7Te4. The powder diffractogram is computed, not measured: it uses a cell relaxed with PBE and Cu Ka.
Lines closer than 0.1° are merged.

Structure:
abc: 13.4110 13.4110 9.1987
angles: 90.00 90.00 120.00
Positions (direct):
Ag1 0.0000 0.0000 0.1454
Ag2 0.0000 0.0000 0.8546
Ag3 0.0000 0.5000 0.0000
Ag4 0.1224 0.2447 0.0000
Ag5 0.1224 0.8776 0.0000
Ag6 0.1254 0.4616 0.5000
Ag7 0.1254 0.6638 0.5000
Ag8 0.2447 0.1224 0.0000
Ag9 0.2540 0.5080 0.2351
Ag10 0.2540 0.5080 0.7649
Ag11 0.2540 0.7460 0.2351
Ag12 0.2540 0.7460 0.7649
Ag13 0.3362 0.4616 0.5000
Ag14 0.3362 0.8746 0.5000
Ag15 0.4616 0.1254 0.5000
Ag16 0.4616 0.3362 0.5000
Ag17 0.4920 0.7460 0.2351
Ag18 0.4920 0.7460 0.7649
Ag19 0.5000 0.0000 0.0000
Ag20 0.5000 0.5000 0.0000
Ag21 0.5080 0.2540 0.2351
Ag22 0.5080 0.2540 0.7649
Ag23 0.5384 0.6638 0.5000
Ag24 0.5384 0.8746 0.5000
Ag25 0.6638 0.1254 0.5000
Ag26 0.6638 0.5384 0.5000
Ag27 0.7460 0.2540 0.2351
Ag28 0.7460 0.2540 0.7649
Ag29 0.7460 0.4920 0.2351
Ag30 0.7460 0.4920 0.7649
Ag31 0.7553 0.8776 0.0000
Ag32 0.8746 0.3362 0.5000
Ag33 0.8746 0.5384 0.5000
Ag34 0.8776 0.1224 0.0000
Ag35 0.8776 0.7553 0.0000
Te1 0.0000 0.2124 0.5000
Te2 0.0000 0.3390 0.1881
Te3 0.0000 0.3390 0.8119
Te4 0.0000 0.6610 0.1881
Te5 0.0000 0.6610 0.8119
Te6 0.0000 0.7876 0.5000
Te7 0.2124 0.0000 0.5000
Te8 0.2124 0.2124 0.5000
Te9 0.3333 0.6667 0.0000
Te10 0.3390 0.0000 0.1881
Te11 0.3390 0.0000 0.8119
Te12 0.3390 0.3390 0.1881
Te13 0.3390 0.3390 0.8119
Te14 0.6610 0.0000 0.1881
Te15 0.6610 0.0000 0.8119
Te16 0.6610 0.6610 0.1881
Te17 0.6610 0.6610 0.8119
Te18 0.6667 0.3333 0.0000
Te19 0.7876 0.0000 0.5000
Te20 0.7876 0.7876 0.5000

Most intense lines, 2θ from 10° to 90°, by angle:
| hkl | two_theta | intensity |
| --- | --- | --- |
| 2 1 2 | 28.1 | 46 |
| 2 2 1 | 28.3 | 51 |
| 0 0 3 | 29.1 | 29 |
| 3 0 2 | 30.2 | 31 |
| 4 0 0 | 30.8 | 23 |
| 4 1 1 | 36.8 | 38 |
| 3 0 3 | 37.4 | 22 |
| 0 0 4 | 39.2 | 33 |
| 2 2 3 | 39.8 | 48 |
| 4 1 2 | 40.6 | 100 |
| 3 3 1 | 41.6 | 50 |
| 3 3 5 | 65.7 | 21 |



Entry 2:
Diffraction record for Ag2Te. The powder diffractogram is computed, not measured: it uses a cell relaxed with PBE and Cu Ka.
Lines closer than 0.1° are merged.

Structure:
abc: 8.0457 4.5328 9.1602
angles: 90.00 122.01 90.00
Positions (direct):
Ag1 0.0318 0.1265 0.1571
Ag2 0.0318 0.3735 0.6571
Ag3 0.3349 0.6428 0.3445
Ag4 0.3349 0.8572 0.8445
Ag5 0.6651 0.1428 0.1555
Ag6 0.6651 0.3572 0.6555
Ag7 0.9682 0.6265 0.3429
Ag8 0.9682 0.8735 0.8429
Te1 0.2727 0.1457 0.5299
Te2 0.2727 0.3543 0.0299
Te3 0.7273 0.6457 0.9701
Te4 0.7273 0.8543 0.4701

Most intense lines, 2θ from 10° to 90°, by angle:
| hkl | two_theta | intensity |
| --- | --- | --- |
| 2 1 -1 | 29.8 | 85 |
| 0 1 2 | 30.3 | 100 |
| 1 1 2 | 37.8 | 28 |
| 3 1 -2 | 39.1 | 90 |
| 2 0 -4 | 39.4 | 39 |
| 3 0 0 | 39.6 | 43 |
| 0 1 3 | 40.1 | 66 |
| 0 2 1 | 41.5 | 45 |
| 1 2 -1 | 41.7 | 48 |
| 3 0 -4 | 42.2 | 28 |
| 2 0 2 | 43.6 | 31 |
| 3 2 -5 | 66.2 | 33 |



> Number 1 is which compound?

Ag7Te4